# Ba2PuO6
Computed powder diffractogram, copper Kα. Input: a PBE-relaxed structure.
No peak broadening, texture or thermal motion is included.

Largest 8 diffraction maxima, sorted by position, 2θ from 10° to 90°:
| d/Å | 2θ (°) | I (rel.) |
| --- | --- | --- |
| 5.056 | 17.54 | 99.6 |
| 3.118 | 28.63 | 100.0 |
| 3.054 | 29.24 | 55.2 |
| 2.614 | 34.30 | 30.1 |
| 2.159 | 41.83 | 25.8 |
| 1.813 | 50.33 | 24.1 |
| 1.775 | 51.48 | 45.5 |
| 1.559 | 59.27 | 17.8 |

Cell and atoms:
Lattice parameters (Å, degrees): 6.1078 6.1078 9.0125 90.00 90.00 90.00
Fractional positions:
Ba 0.0000 0.5000 0.2500
Ba 0.0000 0.5000 0.7500
Ba 0.5000 0.0000 0.2500
Ba 0.5000 0.0000 0.7500
Pu 0.0000 0.0000 0.0000
Pu 0.5000 0.5000 0.5000
O 0.0000 0.0000 0.2210
O 0.0000 0.0000 0.7790
O 0.1468 0.2855 0.0000
O 0.2145 0.3532 0.5000
O 0.2855 0.8532 0.0000
O 0.3532 0.7855 0.5000
O 0.5000 0.5000 0.2790
O 0.5000 0.5000 0.7210
O 0.6468 0.2145 0.5000
O 0.7145 0.1468 0.0000
O 0.7855 0.6468 0.5000
O 0.8532 0.7145 0.0000

=====

# Pm3Dy2Tm2
Computed powder diffractogram, copper Kα. Input: a PBE-relaxed structure.
No peak broadening, texture or thermal motion is included.

Largest 8 diffraction maxima, sorted by position, 2θ from 10° to 90°:
| d/Å | 2θ (°) | I (rel.) |
| --- | --- | --- |
| 2.916 | 30.66 | 100.0 |
| 2.532 | 35.45 | 17.0 |
| 2.522 | 35.60 | 33.6 |
| 1.788 | 51.09 | 18.1 |
| 1.783 | 51.23 | 18.0 |
| 1.526 | 60.70 | 14.4 |
| 1.522 | 60.87 | 21.4 |
| 1.160 | 83.31 | 8.9 |

Cell and atoms:
Lattice parameters (Å, degrees): 6.1729 6.1729 8.0094 97.51 97.51 48.28
Fractional positions:
Pm 0.0000 0.0000 0.0000
Pm 0.1422 0.1422 0.4283
Pm 0.8578 0.8578 0.5717
Dy 0.2850 0.2850 0.8586
Dy 0.7150 0.7150 0.1414
Tm 0.4282 0.4282 0.2852
Tm 0.5718 0.5718 0.7148

=====

# Th2In2Ag3
Computed powder diffractogram, copper Kα. Input: a PBE-relaxed structure.
No peak broadening, texture or thermal motion is included.

Largest 8 diffraction maxima, sorted by position, 2θ from 10° to 90°:
| d/Å | 2θ (°) | I (rel.) |
| --- | --- | --- |
| 3.127 | 28.55 | 23.4 |
| 2.875 | 31.11 | 76.1 |
| 2.791 | 32.06 | 100.0 |
| 2.310 | 38.99 | 33.9 |
| 2.188 | 41.27 | 29.4 |
| 1.792 | 50.95 | 22.9 |
| 1.588 | 58.07 | 21.0 |
| 1.378 | 68.02 | 16.6 |

Cell and atoms:
Lattice parameters (Å, degrees): 10.4791 10.4791 7.7647 90.00 90.00 155.90
Fractional positions:
Th 0.0532 0.9468 0.7500
Th 0.1490 0.8510 0.2500
Th 0.8510 0.1490 0.7500
Th 0.9468 0.0532 0.2500
In 0.3139 0.6861 0.0565
In 0.3139 0.6861 0.4435
In 0.6861 0.3139 0.5565
In 0.6861 0.3139 0.9435
Ag 0.2303 0.7697 0.7500
Ag 0.4412 0.5588 0.5714
Ag 0.4412 0.5588 0.9286
Ag 0.5588 0.4412 0.0714
Ag 0.5588 0.4412 0.4286
Ag 0.7697 0.2303 0.2500

=====

# La3Nd2Y7
Computed powder diffractogram, copper Kα. Input: a PBE-relaxed structure.
No peak broadening, texture or thermal motion is included.

Largest 8 diffraction maxima, sorted by position, 2θ from 10° to 90°:
| d/Å | 2θ (°) | I (rel.) |
| --- | --- | --- |
| 3.091 | 28.89 | 74.4 |
| 2.988 | 29.90 | 47.9 |
| 2.905 | 30.78 | 100.0 |
| 2.898 | 30.86 | 53.9 |
| 2.846 | 31.44 | 51.7 |
| 2.843 | 31.46 | 50.5 |
| 2.762 | 32.41 | 43.8 |
| 2.550 | 35.19 | 46.7 |

Cell and atoms:
Lattice parameters (Å, degrees): 3.6518 5.8282 19.5242 86.78 84.70 89.99
Fractional positions:
La 0.0000 0.0000 0.0000
La 0.3232 0.2766 0.3581
La 0.6768 0.7234 0.6419
Nd 0.1417 0.2116 0.7123
Nd 0.8583 0.7884 0.2877
Y 0.0842 0.6926 0.8286
Y 0.2283 0.2422 0.5416
Y 0.4309 0.8121 0.1407
Y 0.5000 0.5000 0.0000
Y 0.5691 0.1879 0.8593
Y 0.7717 0.7578 0.4584
Y 0.9158 0.3074 0.1714

=====

# RbMgBe2H8
Computed powder diffractogram, copper Kα. Input: a PBE-relaxed structure.
No peak broadening, texture or thermal motion is included.

Largest 8 diffraction maxima, sorted by position, 2θ from 10° to 90°:
| d/Å | 2θ (°) | I (rel.) |
| --- | --- | --- |
| 7.520 | 11.77 | 29.3 |
| 4.050 | 21.94 | 100.0 |
| 3.760 | 23.66 | 25.2 |
| 3.566 | 24.97 | 54.4 |
| 2.756 | 32.49 | 92.2 |
| 2.339 | 38.50 | 32.0 |
| 1.986 | 45.69 | 28.7 |
| 1.783 | 51.24 | 24.5 |

Cell and atoms:
Lattice parameters (Å, degrees): 4.6770 4.6770 7.5196 90.00 90.00 120.00
Fractional positions:
Rb 0.0000 0.0000 0.0000
Mg 0.0000 0.0000 0.5000
Be 0.3333 0.6667 0.6833
Be 0.6667 0.3333 0.3167
H 0.0513 0.3481 0.6569
H 0.2968 0.9487 0.6569
H 0.3333 0.6667 0.8800
H 0.3481 0.2968 0.3431
H 0.6519 0.7032 0.6569
H 0.6667 0.3333 0.1200
H 0.7032 0.0513 0.3431
H 0.9487 0.6519 0.3431

=====

# Ac2TeN
Computed powder diffractogram, copper Kα. Input: a PBE-relaxed structure.
No peak broadening, texture or thermal motion is included.

Largest 8 diffraction maxima, sorted by position, 2θ from 10° to 90°:
| d/Å | 2θ (°) | I (rel.) |
| --- | --- | --- |
| 4.110 | 21.62 | 10.2 |
| 3.151 | 28.33 | 100.0 |
| 3.094 | 28.86 | 25.2 |
| 2.994 | 29.84 | 19.5 |
| 2.312 | 38.96 | 13.0 |
| 2.151 | 41.99 | 17.4 |
| 1.797 | 50.81 | 20.4 |
| 1.757 | 52.05 | 14.2 |

Cell and atoms:
Lattice parameters (Å, degrees): 7.5578 7.5578 6.1876 90.06 90.06 46.67
Fractional positions:
Ac 0.1145 0.6878 0.9996
Ac 0.3122 0.8855 0.5004
Ac 0.6878 0.1145 0.4996
Ac 0.8855 0.3122 0.0004
Te 0.0000 0.5000 0.5000
Te 0.5000 0.0000 0.0000
N 0.0004 0.9996 0.2500
N 0.9996 0.0004 0.7500

=====

# LiY
Computed powder diffractogram, copper Kα. Input: a PBE-relaxed structure.
No peak broadening, texture or thermal motion is included.

Largest 8 diffraction maxima, sorted by position, 2θ from 10° to 90°:
| d/Å | 2θ (°) | I (rel.) |
| --- | --- | --- |
| 5.447 | 16.27 | 92.3 |
| 2.955 | 30.25 | 64.2 |
| 2.723 | 32.89 | 20.1 |
| 2.597 | 34.53 | 100.0 |
| 2.003 | 45.28 | 40.9 |
| 1.628 | 56.53 | 19.5 |
| 1.547 | 59.78 | 19.6 |
| 1.446 | 64.45 | 16.3 |

Cell and atoms:
Lattice parameters (Å, degrees): 3.4119 3.4119 5.4468 90.00 90.00 120.00
Fractional positions:
Li 0.0000 0.0000 0.0000
Y 0.6667 0.3333 0.5000

=====

# Er6NiPd5
Computed powder diffractogram, copper Kα. Input: a PBE-relaxed structure.
No peak broadening, texture or thermal motion is included.

Largest 8 diffraction maxima, sorted by position, 2θ from 10° to 90°:
| d/Å | 2θ (°) | I (rel.) |
| --- | --- | --- |
| 2.463 | 36.48 | 25.7 |
| 2.454 | 36.62 | 25.3 |
| 2.442 | 36.81 | 100.0 |
| 1.738 | 52.65 | 17.8 |
| 1.418 | 65.87 | 18.1 |
| 1.414 | 66.05 | 17.7 |
| 1.407 | 66.47 | 17.5 |
| 1.098 | 89.19 | 12.2 |

Cell and atoms:
Lattice parameters (Å, degrees): 7.7630 7.7630 6.8603 90.00 90.00 143.00
Fractional positions:
Er 0.0000 0.0000 0.2455
Er 0.0000 0.0000 0.7545
Er 0.3361 0.6639 0.2477
Er 0.3361 0.6639 0.7523
Er 0.6639 0.3361 0.2477
Er 0.6639 0.3361 0.7523
Ni 0.5000 0.5000 0.0000
Pd 0.1677 0.8323 0.0000
Pd 0.1683 0.8317 0.5000
Pd 0.5000 0.5000 0.5000
Pd 0.8323 0.1677 0.0000
Pd 0.8317 0.1683 0.5000